The following is a computed powder X-ray diffraction pattern of Nd3YHo3. It was derived from DFT lattice parameters and positions (GGA-PBE), using Cu Kα.
Neutral-atom scattering factors, no anomalous dispersion.

Cell and atoms:
```
data_Nd3YHo3
_cell_length_a 9.6589
_cell_length_b 9.6589
_cell_length_c 5.7745
_cell_angle_alpha 90.00
_cell_angle_beta 90.00
_cell_angle_gamma 120.00
_space_group_name_H-M_alt 'P 1'
_space_group_IT_number 1
loop_
_space_group_symop_operation_xyz
'x,y,z'
loop_
_atom_site_label
_atom_site_type_symbol
_atom_site_fract_x
_atom_site_fract_y
_atom_site_fract_z
Nd1 Nd 0.0467 0.2418 0.2500
Nd2 Nd 0.1951 0.9533 0.2500
Nd3 Nd 0.2418 0.1951 0.7500
Nd4 Nd 0.7582 0.8049 0.2500
Nd5 Nd 0.8049 0.0467 0.7500
Nd6 Nd 0.9533 0.7582 0.7500
Y1 Y 0.3333 0.6667 0.2500
Y2 Y 0.6667 0.3333 0.7500
Ho1 Ho 0.0945 0.4778 0.7500
Ho2 Ho 0.3833 0.9055 0.7500
Ho3 Ho 0.4778 0.3833 0.2500
Ho4 Ho 0.5222 0.6167 0.7500
Ho5 Ho 0.6167 0.0945 0.2500
Ho6 Ho 0.9055 0.5222 0.2500
```

Top 8 peaks for 2θ from 5° to 70°, by intensity:
| two_theta | intensity | hkl |
| --- | --- | --- |
| 32.3 | 100 | 2 1 1 |
| 31.0 | 25 | 0 0 2 |
| 28.2 | 24 | 2 1 0 |
| 60.0 | 23 | 1 4 2 |
| 55.9 | 21 | 2 1 3 |
| 50.0 | 20 | 1 4 0 |
| 60.7 | 16 | 4 2 1 |
| 42.4 | 16 | 2 1 2 |